Record 1
Diffraction record for NaNbPdSe3. The powder XRD pattern is simulated, not measured: it uses a PBE-relaxed structure and Cu Kα X-rays.
Peak positions follow from Bragg's law for the DFT cell and can differ from measured ones.

Peak list (10 most intense, 10 to 90 degrees two-theta, in order of rising 2θ)
d 7.051, 2θ = 12.55°, I 1000, (0 2 0)
d 2.841, 2θ = 31.49°, I 153, (1 3 0)
d 2.733, 2θ = 32.77°, I 490, (1 3 1)
d 2.504, 2θ = 35.86°, I 361, (0 0 4)
d 2.471, 2θ = 36.36°, I 800, (1 3 2)
d 2.128, 2θ = 42.48°, I 182, (0 6 2)
d 2.024, 2θ = 44.79°, I 296, (1 5 2)
d 1.844, 2θ = 49.42°, I 171, (1 5 3)
d 1.783, 2θ = 51.24°, I 180, (2 0 0)
d 1.637, 2θ = 56.18°, I 173, (1 3 5)

Atomic structure:
Cell lengths 3.5656, 14.1026, 10.0167 Å; angles 90.00, 90.00, 90.00 degrees
Space group Cmcm (No. 63)
Asymmetric unit:
Na 0.0000 0.2356 0.2500
Nb 0.0000 0.0000 0.0000
Pd 0.0000 0.4580 0.7500
Se 0.0000 0.0860 0.7500
Se 0.0000 0.3644 0.5401

Record 2
Diffraction record for NaNbS6. The powder XRD pattern is simulated, not measured: it uses a PBE-relaxed structure and Cu Kα X-rays.
Peak positions follow from Bragg's law for the DFT cell and can differ from measured ones.

Peak list (10 most intense, 10 to 90 degrees two-theta, in order of rising 2θ)
d 4.184, 2θ = 21.23°, I 1000, (0 0 2)
d 4.035, 2θ = 22.03°, I 478, (2 0 0)
d 3.700, 2θ = 24.05°, I 393, (2 2 0)
d 3.048, 2θ = 29.30°, I 680, (2 4 0)
d 2.672, 2θ = 33.54°, I 862, (0 2 3)
d 2.490, 2θ = 36.07°, I 757, (0 6 2)
d 2.461, 2θ = 36.52°, I 427, (1 7 -1)
d 2.110, 2θ = 42.86°, I 305, (1 1 -4)
d 2.075, 2θ = 43.62°, I 689, (0 6 3)
d 1.899, 2θ = 47.90°, I 385, (3 7 -1)

Atomic structure:
Cell lengths 8.2125, 18.6157, 8.5222 Å; angles 90.00, 100.89, 90.00 degrees
Space group C2/c (No. 15)
Asymmetric unit:
Na 0.2255 0.2226 0.2590
Nb 0.2343 0.0294 0.9481
S 0.0239 0.4369 0.4305
S 0.0410 0.1694 0.5369
S 0.0735 0.3306 0.4634
S 0.0985 0.0612 0.6165
S 0.2155 0.1641 0.9482
S 0.2207 0.0603 0.2319

Record 3
Diffraction record for Na3NdP2. The powder XRD pattern is simulated, not measured: it uses a PBE-relaxed structure and Cu Kα X-rays.
Peak positions follow from Bragg's law for the DFT cell and can differ from measured ones.

Peak list (10 most intense, 10 to 90 degrees two-theta, in order of rising 2θ)
d 7.126, 2θ = 12.42°, I 689, (0 2 0)
d 6.294, 2θ = 14.07°, I 1000, (1 1 0)
d 3.933, 2θ = 22.61°, I 159, (1 3 0)
d 3.176, 2θ = 28.10°, I 420, (0 2 2)
d 3.147, 2θ = 28.36°, I 256, (2 2 0)
d 3.091, 2θ = 28.89°, I 209, (1 1 2)
d 2.636, 2θ = 34.01°, I 391, (1 3 2)
d 2.514, 2θ = 35.72°, I 205, (0 4 2)
d 2.497, 2θ = 35.97°, I 547, (2 0 2)
d 2.354, 2θ = 38.23°, I 300, (2 2 2)

Atomic structure:
Cell lengths 7.0146, 14.2514, 7.0955 Å; angles 90.00, 90.00, 90.00 degrees
Space group Ibam (No. 72)
Asymmetric unit:
Na 0.0000 0.0000 0.2500
Na 0.1288 0.2841 0.0000
Nd 0.0000 0.5000 0.2500
P 0.2212 0.3935 0.5000